Diffraction record for MgFe4P4O16. The powder X-ray diffraction pattern is calculated, not measured: it uses DFT lattice parameters and positions (GGA+U) and Cu Kα, 1.54184 Å.

Cell and atoms:
```
data_MgFe4P4O16
_cell_length_a 5.3038
_cell_length_b 8.1413
_cell_length_c 8.8053
_cell_angle_alpha 89.06
_cell_angle_beta 86.37
_cell_angle_gamma 74.27
_space_group_name_H-M_alt 'P 1'
_space_group_IT_number 1
loop_
_space_group_symop_operation_xyz
'x,y,z'
loop_
_atom_site_label
_atom_site_fract_x
_atom_site_fract_y
_atom_site_fract_z
Mg1 0.0000 0.0000 0.0000
Fe1 0.0582 0.2020 0.4905
Fe2 0.4408 0.3100 0.9974
Fe3 0.5587 0.6905 0.0059
Fe4 0.9590 0.8073 0.5110
P1 0.0889 0.7087 0.1679
P2 0.3691 0.8199 0.6775
P3 0.6497 0.1886 0.3236
P4 0.9099 0.2934 0.8350
O1 0.0089 0.3306 0.6733
O2 0.1420 0.2257 0.9413
O3 0.1992 0.9734 0.5857
O4 0.2318 0.8528 0.1587
O5 0.2554 0.6750 0.6237
O6 0.2889 0.5475 0.1003
O7 0.3166 0.8516 0.8506
O8 0.3569 0.2253 0.3723
O9 0.6639 0.7884 0.6363
O10 0.6894 0.1498 0.1513
O11 0.7088 0.4529 0.9051
O12 0.7684 0.1488 0.8422
O13 0.7723 0.3326 0.3682
O14 0.8208 0.0372 0.4177
O15 0.8579 0.7752 0.0606
O16 0.9873 0.6771 0.3306
```

Principal peaks in the range 10 to 80 degrees two-theta, by angle:
(hkl)	Position (°2θ)	I (rel.)
0 1 1	15.1	400
1 1 1	20.2	1000
1 0 -1	20.7	391
0 2 0	22.7	939
0 1 2	23.2	703
1 -1 2	30.3	394

Diffraction record for NaLaCr4O12. The powder X-ray diffraction pattern is calculated, not measured: it uses DFT lattice parameters and positions (GGA+U) and Cu Kα, 1.54184 Å.

Cell and atoms:
```
data_NaLaCr4O12
_cell_length_a 7.5345
_cell_length_b 7.3081
_cell_length_c 7.6281
_cell_angle_alpha 90.00
_cell_angle_beta 90.00
_cell_angle_gamma 90.00
_space_group_name_H-M_alt 'A m m 2'
_space_group_IT_number 38
loop_
_space_group_symop_operation_xyz
'x,y,z'
'-x,-y,z'
'-x,y,z'
'x,-y,z'
'x,y+1/2,z+1/2'
'-x,-y+1/2,z+1/2'
'-x,y+1/2,z+1/2'
'x,-y+1/2,z+1/2'
loop_
_atom_site_label
_atom_site_fract_x
_atom_site_fract_y
_atom_site_fract_z
Na1 0.0000 0.0000 0.0000
La1 0.5000 0.0000 0.4723
Cr1 0.2402 0.2463 0.7263
O1 0.0000 0.2073 0.2396
O2 0.2106 0.0000 0.7806
O3 0.2470 0.2127 0.4969
O4 0.2899 0.0000 0.2192
O5 0.5000 0.2159 0.7476
```

Principal peaks in the range 10 to 80 degrees two-theta, by angle:
(hkl)	Position (°2θ)	I (rel.)
1 0 0	11.7	308
0 1 1	16.8	401
1 1 1	20.5	1000
2 0 2	33.4	493
0 2 2	34.0	540
2 2 0	34.2	530